The following is a theoretical powder diffractogram of B2Mo. It was derived from the GGA-PBE geometry in the Materials Project, using a wavelength of 1.5418 Å.
No peak broadening, texture or thermal motion is included.

Peak list (7 most intense, 2θ = 5–70°, sorted by position)
2θ (°), I/Imax
26.61, 382
34.16, 746
43.82, 1000
54.82, 94
61.16, 201
66.20, 213
67.89, 170

Structure:
a = 3.030 Å, b = 3.030 Å, c = 3.349 Å
α = 90.00°, β = 90.00°, γ = 120.00°
Element x y z (fractional)
B 0.333 0.667 0.000
B 0.667 0.333 0.000
Mo 0.000 0.000 0.500